For TlZnSeF, a crystal structure in OQMD, relaxed with GGA-PBE gives the theoretical XRD peak list in this record (Cu Kα).

Most intense lines, 10° ≤ 2θ ≤ 90°, sorted by position:
2theta  I (rel.)
26.79  100
27.80  27
29.49  33
31.84  30
35.21  16
43.84  51
47.42  33
52.13  16
53.73  37
66.55  12
70.42  13
83.16  13

Structure:
a = 12.346 Å, b = 12.346 Å, c = 12.346 Å
α = 19.26°, β = 19.26°, γ = 19.26°
Fractional positions:
Tl 0.121 0.121 0.121
Tl 0.879 0.879 0.879
Zn 0.307 0.307 0.307
Zn 0.693 0.693 0.693
Se 0.379 0.379 0.379
Se 0.621 0.621 0.621
F 0.190 0.190 0.190
F 0.810 0.810 0.810